Simulated powder diffraction line list
Compound: LiEr2Tl2W4O16
Radiation: copper Kα
Structure: a DFT-relaxed cell (GGA+U, Alexandria)
Intensities are scaled so that the largest is 100.

Largest 8 diffraction maxima, in order of rising 2θ, 2θ = 10–90°:
- 26.85°, 3.321 Å, I = 100
- 27.08°, 3.292 Å, I = 34
- 28.92°, 3.087 Å, I = 93
- 31.48°, 2.842 Å, I = 35
- 32.02°, 2.795 Å, I = 31
- 33.46°, 2.678 Å, I = 17
- 46.60°, 1.949 Å, I = 17
- 56.35°, 1.633 Å, I = 16

```
LiEr2Tl2W4O16
1.0
5.626 -5.357 0.000
5.626 5.357 0.000
-4.978 0.000 5.684
Li Er Tl W O
1 2 2 4 16
Direct
0.000 0.000 0.000 Li
0.263 0.737 0.500 Er
0.711 0.289 0.000 Er
0.284 0.716 0.000 Tl
0.696 0.304 0.500 Tl
0.187 0.223 0.955 W
0.195 0.209 0.463 W
0.777 0.813 0.045 W
0.791 0.805 0.537 W
0.082 0.890 0.288 O
0.110 0.918 0.712 O
0.117 0.269 0.692 O
0.137 0.462 0.133 O
0.247 0.476 0.555 O
0.254 0.150 0.205 O
0.435 0.159 0.634 O
0.457 0.273 0.053 O
0.524 0.753 0.445 O
0.538 0.863 0.867 O
0.727 0.543 0.947 O
0.731 0.883 0.308 O
0.841 0.565 0.366 O
0.850 0.746 0.795 O
0.867 0.103 0.797 O
0.897 0.133 0.203 O
```

Simulated powder diffraction line list
Compound: LiErW2O8
Radiation: copper Kα
Structure: a DFT-relaxed cell (GGA+U, Alexandria)
Intensities are scaled so that the largest is 100.

Largest 8 diffraction maxima, in order of rising 2θ, 2θ = 10–90°:
- 17.79°, 4.985 Å, I = 32
- 23.00°, 3.867 Å, I = 28
- 23.26°, 3.824 Å, I = 57
- 28.79°, 3.101 Å, I = 100
- 29.66°, 3.012 Å, I = 90
- 34.90°, 2.571 Å, I = 42
- 35.33°, 2.540 Å, I = 30
- 49.38°, 1.846 Å, I = 30

```
LiErW2O8
1.0
5.085 0.000 0.000
0.000 5.960 0.000
-4.690 0.000 9.969
Li Er W O
2 2 4 16
Direct
0.000 0.230 0.250 Li
0.000 0.770 0.750 Li
0.500 0.167 0.750 Er
0.500 0.833 0.250 Er
0.263 0.329 0.010 W
0.263 0.671 0.510 W
0.737 0.329 0.490 W
0.737 0.671 0.990 W
0.161 0.390 0.599 O
0.161 0.610 0.099 O
0.234 0.135 0.133 O
0.234 0.865 0.633 O
0.277 0.134 0.884 O
0.277 0.866 0.384 O
0.338 0.406 0.391 O
0.338 0.594 0.891 O
0.662 0.406 0.109 O
0.662 0.594 0.609 O
0.723 0.134 0.616 O
0.723 0.866 0.116 O
0.766 0.135 0.367 O
0.766 0.865 0.867 O
0.839 0.390 0.901 O
0.839 0.610 0.401 O
```

Copy entry 2 word for word.
Simulated powder diffraction line list
Compound: LiErW2O8
Radiation: copper Kα
Structure: a DFT-relaxed cell (GGA+U, Alexandria)
Intensities are scaled so that the largest is 100.

Largest 8 diffraction maxima, in order of rising 2θ, 2θ = 10–90°:
- 17.79°, 4.985 Å, I = 32
- 23.00°, 3.867 Å, I = 28
- 23.26°, 3.824 Å, I = 57
- 28.79°, 3.101 Å, I = 100
- 29.66°, 3.012 Å, I = 90
- 34.90°, 2.571 Å, I = 42
- 35.33°, 2.540 Å, I = 30
- 49.38°, 1.846 Å, I = 30

```
LiErW2O8
1.0
5.085 0.000 0.000
0.000 5.960 0.000
-4.690 0.000 9.969
Li Er W O
2 2 4 16
Direct
0.000 0.230 0.250 Li
0.000 0.770 0.750 Li
0.500 0.167 0.750 Er
0.500 0.833 0.250 Er
0.263 0.329 0.010 W
0.263 0.671 0.510 W
0.737 0.329 0.490 W
0.737 0.671 0.990 W
0.161 0.390 0.599 O
0.161 0.610 0.099 O
0.234 0.135 0.133 O
0.234 0.865 0.633 O
0.277 0.134 0.884 O
0.277 0.866 0.384 O
0.338 0.406 0.391 O
0.338 0.594 0.891 O
0.662 0.406 0.109 O
0.662 0.594 0.609 O
0.723 0.134 0.616 O
0.723 0.866 0.116 O
0.766 0.135 0.367 O
0.766 0.865 0.867 O
0.839 0.390 0.901 O
0.839 0.610 0.401 O
```